For Y3ErTm2Sb6, DFT lattice parameters and positions (GGA-PBE) gives the simulated PXRD pattern in this record (Cu Kα).

Cell and atoms:
Cell: 7.5653 13.1032 7.5586 Å, 90.00 109.47 90.00°
Space group C2/m (No. 12)
Symmetry-distinct sites (fractional):
Y: 0.0000 0.0000 0.0000 [2 per cell]
Y: 0.0000 0.3335 0.0000 [4 per cell]
Er: 0.0000 0.5000 0.5000 [2 per cell]
Tm: 0.0000 0.1667 0.5000 [4 per cell]
Sb: 0.2482 0.0000 0.7463 [4 per cell]
Sb: 0.2491 0.3330 0.7464 [8 per cell]

Main lines, sorted by position (15° ≤ 2θ ≤ 90°):
Position (°2θ), I (rel.), (hkl)
23.89, 3, 1 3 0
28.92, 100, 1 3 1
31.58, 1, 2 0 1
37.86, 2, 1 3 2
41.35, 76, 2 0 2
43.33, 2, 3 3 0
51.25, 27, 4 0 0
52.96, 1, 2 0 3
59.92, 12, 2 6 2
67.88, 34, 4 6 0
75.41, 25, 5 3 1
89.85, 8, 0 12 0

For ErUSb2, DFT lattice parameters and positions (GGA-PBE) gives the simulated PXRD pattern in this record (Cu Kα).

Cell and atoms:
Cell: 4.3168 4.3168 21.8237 Å, 90.00 90.00 120.00°
Space group R-3m (No. 166, hexagonal axes)
Symmetry-distinct sites (fractional):
Er: 0.0000 0.0000 0.0000 [3 per cell]
U: 0.0000 0.0000 0.5000 [3 per cell]
Sb: 0.0000 0.0000 0.2513 [6 per cell]

Main lines, sorted by position (15° ≤ 2θ ≤ 90°):
Position (°2θ), I (rel.), (hkl)
25.18, 8, 0 1 2
28.95, 100, 1 0 4
40.95, 40, 0 1 8
41.85, 37, 1 1 0
50.16, 7, 0 0 12
51.69, 20, 0 2 4
59.99, 13, 2 0 8
67.33, 18, 1 1 12
68.61, 17, 2 1 4
73.98, 7, 1 0 16
75.82, 13, 1 2 8
76.43, 6, 3 0 0